Structure and simulated powder diffractogram of Sr6Li15Ga8 (a DFT-relaxed cell (GGA-PBE, Alexandria); Cu Kα, 1.54184 Å).

abc: 13.956 13.956 13.956
angles: 90.00 90.00 90.00
Space group Fm-3m (No. 225)
One atom of each set of equivalent atoms:
Sr: 0.000 0.000 0.225 [24 per cell]
Li: 0.000 0.000 0.500 [4 per cell]
Li: 0.000 0.250 0.250 [24 per cell]
Li: 0.178 0.178 0.178 [32 per cell]
Ga: 0.127 0.127 0.373 [32 per cell]

Largest 6 diffraction maxima, low angle first, 2θ = 10–80°:
two_theta, I_rel
21.11, 202
22.06, 466
27.87, 407
33.36, 298
36.42, 1000
65.54, 267